[1]
Simulated X-ray diffraction stick pattern
Compound: HfZr3Sc
Radiation: a wavelength of 1.5418 Å
Structure: the PBE geometry in Alexandria
Lines closer than 0.1° are merged.

Largest 10 diffraction maxima, by angle, 2θ = 15–90°:
2θ (°)  I_rel
30.45  65.8
33.95  100.0
34.55  74.5
35.01  61.1
39.56  70.8
40.47  58.0
45.05  26.5
60.34  26.3
71.22  20.4
71.45  51.2

Crystal structure
Unit cell a=8.228 b=8.228 c=10.255 alpha=109.26 beta=109.26 gamma=21.56
Atoms (fractional coordinates):
Hf: 0.101 0.101 0.043
Hf: 0.899 0.899 0.957
Zr: 0.195 0.195 0.360
Zr: 0.304 0.304 0.130
Zr: 0.494 0.494 0.773
Zr: 0.506 0.506 0.227
Zr: 0.696 0.696 0.870
Zr: 0.805 0.805 0.640
Sc: 0.395 0.395 0.454
Sc: 0.605 0.605 0.546


[2]
Simulated X-ray diffraction stick pattern
Compound: CePd3S4
Radiation: a wavelength of 1.5418 Å
Structure: the PBE geometry in Alexandria
Lines closer than 0.1° are merged.

Largest 10 diffraction maxima, by angle, 2θ = 15–90°:
2θ (°)  I_rel
29.68  98.7
32.59  100.0
46.75  18.9
48.78  24.3
50.75  56.8
54.53  32.0
63.32  21.8
76.16  18.9
80.76  20.1
89.82  17.2

Crystal structure
Unit cell a=6.731 b=6.731 c=6.731 alpha=90.00 beta=90.00 gamma=90.00
Atoms (fractional coordinates):
Ce: 0.000 0.000 0.000
Ce: 0.500 0.500 0.500
Pd: 0.000 0.250 0.500
Pd: 0.000 0.750 0.500
Pd: 0.250 0.500 0.000
Pd: 0.500 0.000 0.250
Pd: 0.500 0.000 0.750
Pd: 0.750 0.500 0.000
S: 0.250 0.250 0.250
S: 0.250 0.250 0.750
S: 0.250 0.750 0.250
S: 0.250 0.750 0.750
S: 0.750 0.250 0.250
S: 0.750 0.250 0.750
S: 0.750 0.750 0.250
S: 0.750 0.750 0.750


[3]
Simulated X-ray diffraction stick pattern
Compound: RbVI5
Radiation: a wavelength of 1.5418 Å
Structure: the PBE geometry in Alexandria
Lines closer than 0.1° are merged.

Largest 10 diffraction maxima, by angle, 2θ = 15–90°:
2θ (°)  I_rel
18.58  34.4
23.37  44.3
25.00  100.0
26.41  59.5
28.34  33.0
29.60  47.0
30.06  42.7
34.10  34.2
36.67  44.9
43.11  32.8

Crystal structure
Unit cell a=7.946 b=7.946 c=7.946 alpha=116.29 beta=106.07 gamma=106.28
Atoms (fractional coordinates):
Rb: 0.000 0.000 0.000
V: 0.807 0.307 0.500
I: 0.082 0.582 0.500
I: 0.101 0.318 0.784
I: 0.534 0.318 0.216
I: 0.661 0.420 0.759
I: 0.661 0.901 0.241


[4]
Simulated X-ray diffraction stick pattern
Compound: NaCd12Ag6
Radiation: a wavelength of 1.5418 Å
Structure: the PBE geometry in Alexandria
Lines closer than 0.1° are merged.

Largest 10 diffraction maxima, by angle, 2θ = 15–90°:
2θ (°)  I_rel
27.03  15.4
36.24  41.4
36.78  42.6
37.05  100.0
38.66  66.2
39.04  42.7
40.40  18.1
56.50  13.0
64.64  14.4
69.43  13.8

Crystal structure
Unit cell a=7.332 b=7.332 c=7.332 alpha=89.07 beta=89.07 gamma=89.07
Atoms (fractional coordinates):
Na: 0.000 0.000 0.000
Cd: 0.041 0.377 0.155
Cd: 0.155 0.041 0.377
Cd: 0.196 0.574 0.477
Cd: 0.377 0.155 0.041
Cd: 0.426 0.523 0.804
Cd: 0.477 0.196 0.574
Cd: 0.523 0.804 0.426
Cd: 0.574 0.477 0.196
Cd: 0.623 0.845 0.959
Cd: 0.804 0.426 0.523
Cd: 0.845 0.959 0.623
Cd: 0.959 0.623 0.845
Ag: 0.115 0.266 0.725
Ag: 0.266 0.725 0.115
Ag: 0.275 0.885 0.734
Ag: 0.725 0.115 0.266
Ag: 0.734 0.275 0.885
Ag: 0.885 0.734 0.275


[5]
Simulated X-ray diffraction stick pattern
Compound: La4PrNd4
Radiation: a wavelength of 1.5418 Å
Structure: the PBE geometry in Alexandria
Lines closer than 0.1° are merged.

Largest 10 diffraction maxima, by angle, 2θ = 15–90°:
2θ (°)  I_rel
29.48  100.0
34.03  17.1
34.23  33.7
49.04  24.4
49.19  12.1
58.13  14.6
58.39  28.9
61.17  12.5
79.54  11.7
79.77  5.8

Crystal structure
Unit cell a=8.288 b=8.288 c=8.288 alpha=95.80 beta=95.80 gamma=142.94
Atoms (fractional coordinates):
La: 0.167 0.167 0.334
La: 0.167 0.833 0.000
La: 0.833 0.167 0.000
La: 0.833 0.833 0.666
Pr: 0.500 0.500 0.000
Nd: 0.165 0.500 0.665
Nd: 0.500 0.165 0.665
Nd: 0.500 0.835 0.335
Nd: 0.835 0.500 0.335


[6]
Simulated X-ray diffraction stick pattern
Compound: Ho10Ti6O27
Radiation: a wavelength of 1.5418 Å
Structure: the PBE geometry in Alexandria
Lines closer than 0.1° are merged.

Largest 10 diffraction maxima, by angle, 2θ = 15–90°:
2θ (°)  I_rel
29.51  53.7
30.00  100.0
30.60  46.4
34.33  21.0
35.05  43.9
49.16  28.2
50.32  17.9
50.58  26.4
59.42  13.9
60.05  14.6

Crystal structure
Unit cell a=7.416 b=7.416 c=12.489 alpha=107.90 beta=107.90 gamma=58.55
Atoms (fractional coordinates):
Ho: 0.000 0.000 0.000
Ho: 0.003 0.003 0.506
Ho: 0.239 0.748 0.735
Ho: 0.261 0.771 0.256
Ho: 0.262 0.262 0.275
Ho: 0.269 0.269 0.769
Ho: 0.536 0.536 0.993
Ho: 0.748 0.239 0.735
Ho: 0.771 0.261 0.256
Ho: 0.774 0.774 0.236
Ti: 0.000 0.511 0.495
Ti: 0.022 0.496 0.005
Ti: 0.496 0.022 0.005
Ti: 0.511 0.000 0.495
Ti: 0.517 0.517 0.509
Ti: 0.771 0.771 0.758
O: 0.053 0.546 0.663
O: 0.084 0.084 0.190
O: 0.087 0.087 0.693
O: 0.096 0.522 0.166
O: 0.236 0.642 0.542
O: 0.244 0.687 0.068
O: 0.256 0.256 0.458
O: 0.282 0.282 0.954
O: 0.318 0.892 0.944
O: 0.370 0.845 0.478
O: 0.454 0.454 0.813
O: 0.461 0.461 0.344
O: 0.494 0.911 0.319
O: 0.522 0.096 0.166
O: 0.546 0.053 0.663
O: 0.598 0.962 0.865
O: 0.614 0.614 0.676
O: 0.642 0.236 0.542
O: 0.687 0.244 0.068
O: 0.726 0.726 0.043
O: 0.822 0.822 0.501
O: 0.845 0.370 0.478
O: 0.892 0.318 0.944
O: 0.911 0.494 0.319
O: 0.932 0.932 0.799
O: 0.949 0.949 0.317
O: 0.962 0.598 0.865